For Mg2PPd8, a crystal structure in Alexandria, relaxed with PBE gives the simulated powder diffraction line list in this record (CuKα).

Cell and atoms:
a b c (Å): 7.652 7.652 5.673
angles (deg): 111.76 111.76 34.21
Sites, in units of the cell vectors:
Mg  0.189  0.189  0.190
Mg  0.811  0.811  0.810
P  0.500  0.500  0.500
Pd  0.000  0.000  0.251
Pd  0.000  0.000  0.749
Pd  0.187  0.187  0.688
Pd  0.368  0.368  0.625
Pd  0.369  0.369  0.110
Pd  0.631  0.631  0.890
Pd  0.632  0.632  0.375
Pd  0.813  0.813  0.312

Main lines, sorted by position (2θ = 15–90°):
25.27 deg, intensity 10; 28.06 deg, intensity 18; 34.30 deg, intensity 16; 38.94 deg, intensity 43; 40.08 deg, intensity 51; 42.71 deg, intensity 100; 64.29 deg, intensity 16; 74.62 deg, intensity 19; 78.52 deg, intensity 18; 79.97 deg, intensity 13



For Pm2MgP3Pd4, a crystal structure in Alexandria, relaxed with PBE gives the simulated powder diffraction line list in this record (CuKα).

Cell and atoms:
a b c (Å): 4.063 4.063 10.946
angles (deg): 90.00 90.00 90.00
Sites, in units of the cell vectors:
Pm  0.000  0.500  0.224
Pm  0.500  0.000  0.776
Mg  0.000  0.000  0.500
P  0.000  0.500  0.863
P  0.500  0.000  0.137
P  0.500  0.500  0.500
Pd  0.000  0.000  0.000
Pd  0.000  0.500  0.647
Pd  0.500  0.000  0.353
Pd  0.500  0.500  0.000

Main lines, sorted by position (2θ = 15–90°):
27.34 deg, intensity 30; 31.13 deg, intensity 16; 32.99 deg, intensity 43; 35.28 deg, intensity 100; 44.60 deg, intensity 48; 47.16 deg, intensity 25; 56.58 deg, intensity 18; 64.91 deg, intensity 15; 66.92 deg, intensity 18; 76.10 deg, intensity 21



For PrMgP2Pd5, a crystal structure in Alexandria, relaxed with PBE gives the simulated powder diffraction line list in this record (CuKα).

Cell and atoms:
a b c (Å): 4.552 4.552 8.330
angles (deg): 90.00 90.00 90.00
Sites, in units of the cell vectors:
Pr  0.000  0.000  0.000
Mg  0.000  0.000  0.500
P  0.500  0.500  0.275
P  0.500  0.500  0.725
Pd  0.000  0.500  0.317
Pd  0.000  0.500  0.683
Pd  0.500  0.000  0.317
Pd  0.500  0.000  0.683
Pd  0.500  0.500  0.000

Main lines, sorted by position (2θ = 15–90°):
29.76 deg, intensity 93; 32.24 deg, intensity 55; 35.24 deg, intensity 100; 39.60 deg, intensity 83; 51.95 deg, intensity 56; 57.25 deg, intensity 28; 62.80 deg, intensity 22; 67.24 deg, intensity 25; 69.04 deg, intensity 27; 81.19 deg, intensity 21



For Mg3P2Pd3Rh4, a crystal structure in Alexandria, relaxed with PBE gives the simulated powder diffraction line list in this record (CuKα).

Cell and atoms:
a b c (Å): 12.450 12.450 12.450
angles (deg): 161.00 26.71 161.41
Sites, in units of the cell vectors:
Mg  0.000  0.000  0.000
Mg  0.499  0.695  0.804
Mg  0.891  0.695  0.196
P  0.116  0.691  0.425
P  0.266  0.691  0.575
Pd  0.074  0.192  0.882
Pd  0.310  0.192  0.118
Pd  0.538  0.038  0.500
Rh  0.393  0.696  0.697
Rh  0.581  0.195  0.386
Rh  0.809  0.195  0.614
Rh  0.999  0.696  0.303

Main lines, sorted by position (2θ = 15–90°):
21.94 deg, intensity 21; 24.73 deg, intensity 17; 32.00 deg, intensity 40; 34.54 deg, intensity 57; 37.11 deg, intensity 27; 43.40 deg, intensity 100; 44.07 deg, intensity 34; 45.08 deg, intensity 20; 78.46 deg, intensity 21; 80.58 deg, intensity 16



For SrMgP2Pd4, a crystal structure in Alexandria, relaxed with PBE gives the simulated powder diffraction line list in this record (CuKα).

Cell and atoms:
a b c (Å): 4.266 4.266 7.840
angles (deg): 90.00 90.00 90.00
Sites, in units of the cell vectors:
Sr  0.000  0.000  0.000
Mg  0.000  0.000  0.500
P  0.500  0.500  0.144
P  0.500  0.500  0.856
Pd  0.000  0.500  0.299
Pd  0.000  0.500  0.701
Pd  0.500  0.000  0.299
Pd  0.500  0.000  0.701

Main lines, sorted by position (2θ = 15–90°):
22.69 deg, intensity 30; 29.61 deg, intensity 31; 31.78 deg, intensity 41; 34.32 deg, intensity 19; 37.62 deg, intensity 100; 42.37 deg, intensity 63; 45.95 deg, intensity 30; 61.47 deg, intensity 21; 67.30 deg, intensity 20; 74.36 deg, intensity 26



For MgTe2P2Pd7, a crystal structure in Alexandria, relaxed with PBE gives the simulated powder diffraction line list in this record (CuKα).

Cell and atoms:
a b c (Å): 14.596 14.596 14.596
angles (deg): 164.40 164.40 22.13
Sites, in units of the cell vectors:
Mg  0.000  0.000  0.000
Te  0.208  0.208  0.000
Te  0.792  0.792  0.000
P  0.384  0.384  0.000
P  0.616  0.616  0.000
Pd  0.072  0.572  0.500
Pd  0.303  0.303  0.000
Pd  0.428  0.928  0.500
Pd  0.500  0.500  0.000
Pd  0.572  0.072  0.500
Pd  0.697  0.697  0.000
Pd  0.928  0.428  0.500

Main lines, sorted by position (2θ = 15–90°):
24.86 deg, intensity 52; 31.22 deg, intensity 30; 32.57 deg, intensity 100; 34.38 deg, intensity 41; 37.22 deg, intensity 98; 45.28 deg, intensity 69; 45.81 deg, intensity 88; 50.21 deg, intensity 39; 65.60 deg, intensity 27; 66.80 deg, intensity 28